For Li4Ca3Si2N6, a PBE-relaxed structure gives the simulated X-ray powder pattern in this record (Cu Ka).
No peak broadening, texture or thermal motion is included.

Atomic structure:
a = 5.824 Å, b = 9.781 Å, c = 6.005 Å
α = 90.00°, β = 90.46°, γ = 90.00°
Space group C2/m (No. 12)
Unique sites:
Li 0.139 0.175 0.373 [8 per cell]
Ca 0.000 0.315 0.000 [4 per cell]
Ca 0.000 0.500 0.500 [2 per cell]
Si 0.119 0.000 0.831 [4 per cell]
N 0.192 0.000 0.133 [4 per cell]
N 0.216 0.149 0.710 [8 per cell]

Main lines, in order of falling intensity (2θ from 10° to 90°):
d [Å]  intensity  index
2.575  100  1 3 -1
2.567  89  1 3 1
2.315  52  2 2 -1
6.005  51  0 0 1
1.853  48  0 2 3
3.831  48  1 1 1